# 1
The following is a computed X-ray diffraction stick pattern of Tl8Cd2In3. It was derived from a PBE-relaxed structure, using Cu Kα, 1.54184 Å.

The 8 most intense peaks (10° ≤ 2θ ≤ 90°), in order of rising 2θ:
2θ = 22.49°, intensity 14; 2θ = 25.82°, intensity 33; 2θ = 30.07°, intensity 39; 2θ = 31.60°, intensity 100; 2θ = 34.55°, intensity 21; 2θ = 37.18°, intensity 37; 2θ = 38.18°, intensity 18; 2θ = 60.13°, intensity 14

```
data_Tl8Cd2In3
_chemical_formula_sum 'Tl16 Cd4 In6'
_cell_length_a 16.3673
_cell_length_b 8.6954
_cell_length_c 5.8701
_cell_angle_alpha 90.00
_cell_angle_beta 104.98
_cell_angle_gamma 90.00
_space_group_name_H-M_alt 'C 1 2/m 1'
_space_group_IT_number 12
_space_group_name_Hall '-C 2y'
loop_
_atom_site_label
_atom_site_fract_x
_atom_site_fract_y
_atom_site_fract_z
_atom_site_occupancy
Tl1 0.1077 0.0000 0.0047 1
Tl2 0.1200 0.2022 0.5443 1
Tl3 0.1761 0.5000 0.0525 1
Cd1 0.2299 0.5000 0.5886 1
In1 0.0000 0.3109 0.0000 1
In2 0.0000 0.5000 0.5000 1
```

---

# 2
The following is a computed X-ray diffraction stick pattern of Eu2CdIn. It was derived from a PBE-relaxed structure, using Cu Kα, 1.54184 Å.

The 8 most intense peaks (10° ≤ 2θ ≤ 90°), in order of rising 2θ:
2θ = 31.93°, intensity 51; 2θ = 32.13°, intensity 100; 2θ = 45.78°, intensity 19; 2θ = 46.36°, intensity 9; 2θ = 57.02°, intensity 38; 2θ = 57.40°, intensity 19; 2θ = 67.20°, intensity 12; 2θ = 75.90°, intensity 8

```
data_Eu2CdIn
_chemical_formula_sum 'Eu2 Cd1 In1'
_cell_length_a 5.6063
_cell_length_b 5.6063
_cell_length_c 3.9167
_cell_angle_alpha 90.00
_cell_angle_beta 90.00
_cell_angle_gamma 90.00
_space_group_name_H-M_alt 'P 4/m m m'
_space_group_IT_number 123
_space_group_name_Hall '-P 4 2'
loop_
_atom_site_label
_atom_site_fract_x
_atom_site_fract_y
_atom_site_fract_z
_atom_site_occupancy
Eu1 0.0000 0.5000 0.0000 1
Cd1 0.0000 0.0000 0.5000 1
In1 0.5000 0.5000 0.5000 1
```

---

# 3
The following is a computed X-ray diffraction stick pattern of CaIn5Pd6. It was derived from a PBE-relaxed structure, using Cu Kα, 1.54184 Å.

The 8 most intense peaks (10° ≤ 2θ ≤ 90°), in order of rising 2θ:
2θ = 38.09°, intensity 100; 2θ = 38.47°, intensity 25; 2θ = 38.60°, intensity 24; 2θ = 55.63°, intensity 16; 2θ = 68.55°, intensity 16; 2θ = 69.33°, intensity 16; 2θ = 69.51°, intensity 16; 2θ = 81.49°, intensity 10

```
data_CaIn5Pd6
_chemical_formula_sum 'Ca2 In10 Pd12'
_cell_length_a 4.6805
_cell_length_b 13.9947
_cell_length_c 6.7574
_cell_angle_alpha 90.00
_cell_angle_beta 90.00
_cell_angle_gamma 90.00
_space_group_name_H-M_alt 'C m m m'
_space_group_IT_number 65
_space_group_name_Hall '-C 2 2'
loop_
_atom_site_label
_atom_site_fract_x
_atom_site_fract_y
_atom_site_fract_z
_atom_site_occupancy
Ca1 0.0000 0.0000 0.0000 1
In1 0.0000 0.0000 0.5000 1
In2 0.0000 0.3360 0.0000 1
In3 0.0000 0.3362 0.5000 1
Pd1 0.0000 0.1735 0.2582 1
Pd2 0.0000 0.5000 0.2654 1
```